The following is a simulated XRD peak list of Na3CoO3. It was derived from the GGA+U geometry in Alexandria, using Cu Kα (weighted mean of Kα1 and Kα2).
Lines closer than 0.1° are merged.

Cell and atoms:
a = 9.2325 Å, b = 9.2325 Å, c = 4.4954 Å
α = 90.00°, β = 90.00°, γ = 90.00°
Space group P4_2/mnm (No. 136)
Symmetry-distinct sites (fractional):
1 Na 0.1267 0.3698 0.0000
2 Na 0.1488 0.8512 0.0000
3 Co 0.1122 0.1122 0.5000
4 O 0.0953 0.9047 0.5000
5 O 0.1032 0.3078 0.5000

The 6 most intense peaks (2θ from 15° to 90°), in order of rising 2θ:
| (hkl) | 2θ/deg | intensity |
| --- | --- | --- |
| 1 0 1 | 21.99 | 100 |
| 2 2 1 | 33.94 | 97 |
| 4 0 0 | 39.02 | 82 |
| 0 0 2 | 40.12 | 55 |
| 4 0 2 | 57.21 | 47 |
| 6 2 1 | 67.46 | 33 |